# 1
Theoretical PXRD pattern of TcB for Cu Kα X-rays, from DFT lattice parameters and positions (PBE).

Cell and atoms:
a b c (Å): 2.880 2.880 2.946
angles (deg): 90.00 90.00 120.00
Element x y z (fractional)
Tc 0.000 0.000 0.000
B 0.333 0.667 0.500

Peak list (8 most intense, 15° ≤ 2θ ≤ 90°, by angle)
two_theta  intensity
30.3  47
36.0  98
47.8  100
64.7  21
73.1  22
74.9  22
76.4  10
84.3  19

# 2
Theoretical PXRD pattern of TcB for Cu Kα X-rays, from DFT lattice parameters and positions (PBE).

Cell and atoms:
a b c (Å): 3.001 3.001 5.407
angles (deg): 90.00 90.00 120.00
Element x y z (fractional)
Tc 0.333 0.667 0.250
Tc 0.667 0.333 0.750
B 0.000 0.000 0.000
B 0.000 0.000 0.500

Peak list (8 most intense, 15° ≤ 2θ ≤ 90°, by angle)
two_theta  intensity
33.1  28
34.5  16
38.4  100
48.6  22
61.8  18
62.7  23
72.0  17
75.2  13

# 3
Theoretical PXRD pattern of TlBTe2 for Cu Kα X-rays, from DFT lattice parameters and positions (PBE).

Cell and atoms:
a b c (Å): 5.275 5.275 5.275
angles (deg): 60.00 60.00 60.00
Element x y z (fractional)
Tl 0.000 0.000 0.000
B 0.750 0.750 0.750
Te 0.250 0.250 0.250
Te 0.500 0.500 0.500

Peak list (8 most intense, 15° ≤ 2θ ≤ 90°, by angle)
two_theta  intensity
20.6  21
23.9  21
34.0  100
40.1  12
48.8  18
60.8  37
71.5  11
81.6  16

# 4
Theoretical PXRD pattern of ThUB8 for Cu Kα X-rays, from DFT lattice parameters and positions (PBE).

Cell and atoms:
a b c (Å): 7.150 7.150 4.036
angles (deg): 90.00 90.00 91.31
Element x y z (fractional)
Th 0.188 0.188 0.000
Th 0.812 0.812 0.000
U 0.310 0.690 0.000
U 0.690 0.310 0.000
B 0.000 0.500 0.201
B 0.000 0.500 0.799
B 0.045 0.676 0.500
B 0.089 0.911 0.500
B 0.179 0.467 0.500
B 0.324 0.955 0.500
B 0.412 0.412 0.500
B 0.467 0.179 0.500
B 0.500 0.000 0.201
B 0.500 0.000 0.799
B 0.533 0.821 0.500
B 0.588 0.588 0.500
B 0.676 0.045 0.500
B 0.821 0.533 0.500
B 0.911 0.089 0.500
B 0.955 0.324 0.500

Peak list (8 most intense, 15° ≤ 2θ ≤ 90°, by angle)
two_theta  intensity
22.0  100
24.9  81
27.6  57
28.2  56
33.5  99
35.6  70
36.0  67
58.2  35

# 5
Theoretical PXRD pattern of ThVB4 for Cu Kα X-rays, from DFT lattice parameters and positions (PBE).

Cell and atoms:
a b c (Å): 6.088 6.088 3.670
angles (deg): 90.00 90.00 104.35
Element x y z (fractional)
Th 0.198 0.802 0.000
Th 0.802 0.198 0.000
V 0.338 0.338 0.000
V 0.662 0.662 0.000
B 0.124 0.433 0.500
B 0.133 0.133 0.500
B 0.411 0.589 0.500
B 0.433 0.124 0.500
B 0.567 0.876 0.500
B 0.589 0.411 0.500
B 0.867 0.867 0.500
B 0.876 0.567 0.500

Peak list (8 most intense, 15° ≤ 2θ ≤ 90°, by angle)
two_theta  intensity
18.5  24
23.8  35
24.3  53
30.3  84
34.3  34
39.2  100
55.3  22
59.3  26

# 6
Theoretical PXRD pattern of ThB4W for Cu Kα X-rays, from DFT lattice parameters and positions (PBE).

Cell and atoms:
a b c (Å): 6.126 6.126 3.766
angles (deg): 90.00 90.00 104.23
Element x y z (fractional)
Th 0.198 0.802 0.000
Th 0.802 0.198 0.000
B 0.123 0.436 0.500
B 0.128 0.128 0.500
B 0.410 0.590 0.500
B 0.436 0.123 0.500
B 0.564 0.877 0.500
B 0.590 0.410 0.500
B 0.872 0.872 0.500
B 0.877 0.564 0.500
W 0.328 0.328 0.000
W 0.672 0.672 0.000

Peak list (8 most intense, 15° ≤ 2θ ≤ 90°, by angle)
two_theta  intensity
23.6  80
30.1  84
37.0  21
38.6  100
44.4  28
48.3  18
58.0  39
65.8  22